(1)
Diffraction record for BaCuAgO2. The X-ray powder pattern is calculated, not measured: it uses a crystal structure in Alexandria, relaxed with GGA-PBE and Cu Kα (λ = 1.5418 Å).
No peak broadening, texture or thermal motion is included.

Main lines, sorted by position (10° ≤ 2θ ≤ 90°):
- 25.7 deg, d 3.464, intensity 54
- 28.8 deg, d 3.097, intensity 71
- 32.9 deg, d 2.720, intensity 100
- 35.7 deg, d 2.513, intensity 32
- 38.7 deg, d 2.328, intensity 62
- 42.9 deg, d 2.110, intensity 59
- 44.4 deg, d 2.042, intensity 26
- 46.5 deg, d 1.951, intensity 26
- 61.0 deg, d 1.519, intensity 20
- 77.5 deg, d 1.231, intensity 30

Crystal structure
```
BaCuAgO2
1.0
3.032 -6.195 0.000
3.032 6.195 0.000
0.000 0.000 4.488
Ba Cu Ag O
2 2 2 4
direct
0.250 0.750 0.765
0.750 0.250 0.235
0.000 0.000 0.500
0.500 0.500 0.500
0.250 0.250 0.000
0.750 0.750 0.000
0.128 0.872 0.277
0.372 0.628 0.277
0.628 0.372 0.723
0.872 0.128 0.723
```

***

(2)
Diffraction record for Ba2CuAg2O6. The X-ray powder pattern is calculated, not measured: it uses a crystal structure in Alexandria, relaxed with GGA-PBE and Cu Kα (λ = 1.5418 Å).
No peak broadening, texture or thermal motion is included.

Main lines, sorted by position (10° ≤ 2θ ≤ 90°):
- 29.1 deg, d 3.072, intensity 100
- 32.1 deg, d 2.786, intensity 63
- 43.9 deg, d 2.064, intensity 27
- 44.4 deg, d 2.039, intensity 10
- 51.5 deg, d 1.773, intensity 19
- 53.5 deg, d 1.713, intensity 35
- 59.1 deg, d 1.563, intensity 14
- 60.3 deg, d 1.536, intensity 16
- 69.9 deg, d 1.345, intensity 13
- 83.2 deg, d 1.161, intensity 10

Crystal structure
```
Ba2CuAg2O6
1.0
3.072 1.773 5.450
-3.072 1.773 5.450
0.000 -3.547 5.450
Ba Cu Ag O
2 1 2 6
direct
0.217 0.217 0.217
0.783 0.783 0.783
0.000 0.000 0.000
0.413 0.413 0.413
0.587 0.587 0.587
0.201 0.780 0.780
0.220 0.220 0.799
0.220 0.799 0.220
0.780 0.201 0.780
0.780 0.780 0.201
0.799 0.220 0.220
```

***

(3)
Diffraction record for BaCu2Ag2O4. The X-ray powder pattern is calculated, not measured: it uses a crystal structure in Alexandria, relaxed with GGA-PBE and Cu Kα (λ = 1.5418 Å).
No peak broadening, texture or thermal motion is included.

Main lines, sorted by position (10° ≤ 2θ ≤ 90°):
- 23.0 deg, d 3.863, intensity 24
- 30.1 deg, d 2.969, intensity 100
- 32.1 deg, d 2.787, intensity 52
- 37.6 deg, d 2.389, intensity 16
- 38.8 deg, d 2.321, intensity 59
- 48.0 deg, d 1.896, intensity 28
- 51.2 deg, d 1.783, intensity 22
- 56.0 deg, d 1.641, intensity 19
- 64.9 deg, d 1.436, intensity 22
- 67.2 deg, d 1.393, intensity 19

Crystal structure
```
BaCu2Ag2O4
1.0
6.563 0.000 0.000
0.000 6.563 0.000
0.000 0.000 6.971
Ba Cu Ag O
2 4 4 8
direct
0.250 0.250 0.000
0.750 0.750 0.000
0.250 0.750 0.242
0.250 0.750 0.758
0.750 0.250 0.242
0.750 0.250 0.758
0.000 0.000 0.500
0.000 0.500 0.500
0.500 0.000 0.500
0.500 0.500 0.500
0.058 0.558 0.213
0.058 0.942 0.787
0.442 0.558 0.787
0.442 0.942 0.213
0.558 0.058 0.787
0.558 0.442 0.213
0.942 0.058 0.213
0.942 0.442 0.787
```

***

(4)
Diffraction record for Ba3Cu17AgP6. The X-ray powder pattern is calculated, not measured: it uses a crystal structure in Alexandria, relaxed with GGA-PBE and Cu Kα (λ = 1.5418 Å).
No peak broadening, texture or thermal motion is included.

Main lines, sorted by position (10° ≤ 2θ ≤ 90°):
- 10.1 deg, d 8.752, intensity 81
- 23.8 deg, d 3.743, intensity 28
- 29.7 deg, d 3.009, intensity 32
- 29.7 deg, d 3.006, intensity 31
- 36.5 deg, d 2.462, intensity 69
- 37.4 deg, d 2.406, intensity 68
- 43.4 deg, d 2.084, intensity 29
- 43.7 deg, d 2.070, intensity 100
- 44.2 deg, d 2.049, intensity 29
- 51.8 deg, d 1.763, intensity 24

Crystal structure
```
Ba3Cu17AgP6
1.0
8.937 -2.880 0.000
8.937 2.880 0.000
-5.945 0.000 8.752
Ba Cu Ag P
3 17 1 6
direct
0.000 0.000 0.000
0.338 0.338 0.016
0.662 0.662 0.984
0.000 0.000 0.500
0.064 0.556 0.684
0.082 0.619 0.328
0.176 0.176 0.497
0.199 0.732 0.671
0.268 0.801 0.329
0.329 0.329 0.500
0.381 0.918 0.672
0.444 0.936 0.316
0.556 0.064 0.684
0.619 0.082 0.328
0.671 0.671 0.500
0.732 0.199 0.671
0.801 0.268 0.329
0.824 0.824 0.503
0.918 0.381 0.672
0.936 0.444 0.316
0.500 0.500 0.500
0.094 0.094 0.781
0.235 0.235 0.203
0.432 0.432 0.794
0.568 0.568 0.206
0.765 0.765 0.797
0.906 0.906 0.219
```